No. 1
For TlPb8Br9O4, a PBE-relaxed structure gives the simulated powder diffractogram in this record (copper Kα).
Peak positions follow from Bragg's law for the DFT cell and can differ from measured ones.

Largest 10 diffraction maxima, by angle, 15° ≤ 2θ ≤ 90°:
Position (°2θ)  d/Å  I_rel
18.93  4.688  31
22.25  3.995  26
26.45  3.370  100
27.58  3.234  58
30.04  2.974  94
30.89  2.895  33
31.66  2.826  72
36.28  2.476  46
37.15  2.420  37
43.10  2.099  29

Structure:
Cell lengths 12.637, 12.637, 8.397 Å; angles 90.00, 90.00, 90.00 degrees
Fractional coordinates of all 44 atoms:
1 Tl 0.250 0.250 0.157
2 Tl 0.750 0.750 0.843
3 Pb 0.020 0.663 0.325
4 Pb 0.115 0.693 0.854
5 Pb 0.163 0.980 0.675
6 Pb 0.193 0.885 0.146
7 Pb 0.307 0.615 0.146
8 Pb 0.337 0.520 0.675
9 Pb 0.385 0.807 0.854
10 Pb 0.480 0.837 0.325
11 Pb 0.520 0.163 0.675
12 Pb 0.615 0.193 0.146
13 Pb 0.663 0.480 0.325
14 Pb 0.693 0.385 0.854
15 Pb 0.807 0.115 0.854
16 Pb 0.837 0.020 0.325
17 Pb 0.885 0.307 0.146
18 Pb 0.980 0.337 0.675
19 Br 0.039 0.135 0.383
20 Br 0.067 0.132 0.895
21 Br 0.132 0.433 0.895
22 Br 0.135 0.461 0.383
23 Br 0.250 0.750 0.500
24 Br 0.365 0.039 0.383
25 Br 0.368 0.067 0.895
26 Br 0.433 0.368 0.895
27 Br 0.461 0.365 0.383
28 Br 0.539 0.635 0.617
29 Br 0.567 0.632 0.105
30 Br 0.632 0.933 0.105
31 Br 0.635 0.961 0.617
32 Br 0.750 0.250 0.500
33 Br 0.865 0.539 0.617
34 Br 0.868 0.567 0.105
35 Br 0.933 0.868 0.105
36 Br 0.961 0.865 0.617
37 O 0.142 0.703 0.128
38 O 0.203 0.858 0.872
39 O 0.297 0.642 0.872
40 O 0.358 0.797 0.128
41 O 0.642 0.203 0.872
42 O 0.703 0.358 0.128
43 O 0.797 0.142 0.128
44 O 0.858 0.297 0.872

***

No. 2
For YPb2BrO4, a PBE-relaxed structure gives the simulated powder diffractogram in this record (copper Kα).
Peak positions follow from Bragg's law for the DFT cell and can differ from measured ones.

Largest 10 diffraction maxima, by angle, 15° ≤ 2θ ≤ 90°:
Position (°2θ)  d/Å  I_rel
19.31  4.597  12
22.24  3.997  16
29.62  3.016  100
31.66  2.826  33
45.38  1.998  20
51.23  1.783  25
55.13  1.666  35
61.49  1.508  10
83.01  1.163  10
88.23  1.107  11

Structure:
Cell lengths 3.997, 3.997, 9.194 Å; angles 90.00, 90.00, 90.00 degrees
Fractional coordinates of all 8 atoms:
1 Y 0.000 0.000 0.000
2 Pb 0.500 0.500 0.264
3 Pb 0.500 0.500 0.736
4 Br 0.000 0.000 0.500
5 O 0.000 0.500 0.143
6 O 0.000 0.500 0.857
7 O 0.500 0.000 0.143
8 O 0.500 0.000 0.857

***

No. 3
For Pm3BrO3, a PBE-relaxed structure gives the simulated powder diffractogram in this record (copper Kα).
Peak positions follow from Bragg's law for the DFT cell and can differ from measured ones.

Largest 10 diffraction maxima, by angle, 15° ≤ 2θ ≤ 90°:
Position (°2θ)  d/Å  I_rel
25.04  3.557  12
25.77  3.458  13
28.71  3.110  100
36.23  2.479  42
37.95  2.371  15
45.43  1.996  33
54.63  1.680  16
58.35  1.581  14
60.64  1.527  21
73.70  1.285  12

Structure:
Cell lengths 8.157, 8.157, 8.157 Å; angles 50.16, 50.16, 50.16 degrees
Fractional coordinates of all 14 atoms:
1 Pm 0.080 0.710 0.404
2 Pm 0.290 0.596 0.920
3 Pm 0.404 0.080 0.710
4 Pm 0.596 0.920 0.290
5 Pm 0.710 0.404 0.080
6 Pm 0.920 0.290 0.596
7 Br 0.167 0.167 0.167
8 Br 0.833 0.833 0.833
9 O 0.035 0.369 0.732
10 O 0.268 0.965 0.631
11 O 0.369 0.732 0.035
12 O 0.631 0.268 0.965
13 O 0.732 0.035 0.369
14 O 0.965 0.631 0.268

***

No. 4
For Pm2PrBrO4, a PBE-relaxed structure gives the simulated powder diffractogram in this record (copper Kα).
Peak positions follow from Bragg's law for the DFT cell and can differ from measured ones.

Largest 10 diffraction maxima, by angle, 15° ≤ 2θ ≤ 90°:
Position (°2θ)  d/Å  I_rel
28.99  3.080  100
31.18  2.869  31
44.68  2.028  19
49.95  1.826  25
54.14  1.694  35
60.07  1.540  11
63.23  1.471  10
80.70  1.191  10
86.24  1.128  10
89.56  1.094  13

Structure:
Cell lengths 4.057, 4.057, 9.468 Å; angles 90.00, 90.00, 90.00 degrees
Fractional coordinates of all 8 atoms:
1 Pm 0.000 0.000 0.241
2 Pm 0.000 0.000 0.759
3 Pr 0.500 0.500 0.500
4 Br 0.500 0.500 0.000
5 O 0.000 0.500 0.344
6 O 0.000 0.500 0.656
7 O 0.500 0.000 0.344
8 O 0.500 0.000 0.656

***

No. 5
For PmReBrO4, a PBE-relaxed structure gives the simulated powder diffractogram in this record (copper Kα).
Peak positions follow from Bragg's law for the DFT cell and can differ from measured ones.

Largest 10 diffraction maxima, by angle, 15° ≤ 2θ ≤ 90°:
Position (°2θ)  d/Å  I_rel
23.84  3.733  56
24.54  3.628  100
25.94  3.435  25
28.00  3.186  38
28.29  3.155  81
33.85  2.648  44
34.47  2.602  30
36.00  2.495  19
44.39  2.041  22
45.57  1.991  25

Structure:
Cell lengths 6.533, 6.533, 7.111 Å; angles 102.38, 102.38, 67.47 degrees
Fractional coordinates of all 14 atoms:
1 Pm 0.226 0.226 0.107
2 Pm 0.774 0.774 0.893
3 Re 0.369 0.369 0.721
4 Re 0.631 0.631 0.279
5 Br 0.010 0.010 0.754
6 Br 0.990 0.990 0.246
7 O 0.126 0.479 0.857
8 O 0.294 0.294 0.470
9 O 0.464 0.464 0.212
10 O 0.479 0.126 0.857
11 O 0.521 0.874 0.143
12 O 0.536 0.536 0.788
13 O 0.706 0.706 0.530
14 O 0.874 0.521 0.143

***

No. 6
For PmS2BrO6, a PBE-relaxed structure gives the simulated powder diffractogram in this record (copper Kα).
Peak positions follow from Bragg's law for the DFT cell and can differ from measured ones.

Largest 10 diffraction maxima, by angle, 15° ≤ 2θ ≤ 90°:
Position (°2θ)  d/Å  I_rel
15.08  5.874  57
23.50  3.786  100
28.00  3.186  50
30.41  2.939  50
30.96  2.888  41
34.27  2.617  31
37.89  2.375  27
40.30  2.238  42
41.60  2.171  27
48.03  1.894  28

Structure:
Cell lengths 6.718, 6.718, 8.388 Å; angles 107.94, 107.94, 88.59 degrees
Fractional coordinates of all 20 atoms:
1 Pm 0.057 0.943 0.750
2 Pm 0.943 0.057 0.250
3 S 0.080 0.404 0.728
4 S 0.404 0.080 0.228
5 S 0.596 0.920 0.772
6 S 0.920 0.596 0.272
7 Br 0.402 0.598 0.750
8 Br 0.598 0.402 0.250
9 O 0.009 0.788 0.437
10 O 0.057 0.419 0.279
11 O 0.085 0.323 0.877
12 O 0.212 0.991 0.063
13 O 0.323 0.085 0.377
14 O 0.419 0.057 0.779
15 O 0.581 0.943 0.221
16 O 0.677 0.915 0.623
17 O 0.788 0.009 0.937
18 O 0.915 0.677 0.123
19 O 0.943 0.581 0.721
20 O 0.991 0.212 0.563

***

Copy entry 6 word for word.
For PmS2BrO6, a PBE-relaxed structure gives the simulated powder diffractogram in this record (copper Kα).
Peak positions follow from Bragg's law for the DFT cell and can differ from measured ones.

Largest 10 diffraction maxima, by angle, 15° ≤ 2θ ≤ 90°:
Position (°2θ)  d/Å  I_rel
15.08  5.874  57
23.50  3.786  100
28.00  3.186  50
30.41  2.939  50
30.96  2.888  41
34.27  2.617  31
37.89  2.375  27
40.30  2.238  42
41.60  2.171  27
48.03  1.894  28

Structure:
Cell lengths 6.718, 6.718, 8.388 Å; angles 107.94, 107.94, 88.59 degrees
Fractional coordinates of all 20 atoms:
1 Pm 0.057 0.943 0.750
2 Pm 0.943 0.057 0.250
3 S 0.080 0.404 0.728
4 S 0.404 0.080 0.228
5 S 0.596 0.920 0.772
6 S 0.920 0.596 0.272
7 Br 0.402 0.598 0.750
8 Br 0.598 0.402 0.250
9 O 0.009 0.788 0.437
10 O 0.057 0.419 0.279
11 O 0.085 0.323 0.877
12 O 0.212 0.991 0.063
13 O 0.323 0.085 0.377
14 O 0.419 0.057 0.779
15 O 0.581 0.943 0.221
16 O 0.677 0.915 0.623
17 O 0.788 0.009 0.937
18 O 0.915 0.677 0.123
19 O 0.943 0.581 0.721
20 O 0.991 0.212 0.563

***

> Number 2 is which compound?

YPb2BrO4